CoAgC4O4: simulated X-ray powder pattern (Cu Kα), based on the GGA+U geometry in OQMD.
Neutral-atom scattering factors, no anomalous dispersion.

Most intense lines, 2θ from 15° to 90°, in order of rising 2θ:
- d 4.935, 2θ 17.97, intensity 100
- d 4.784, 2θ 18.55, intensity 26
- d 4.034, 2θ 22.03, intensity 20
- d 2.871, 2θ 31.15, intensity 41
- d 2.827, 2θ 31.65, intensity 35
- d 2.605, 2θ 34.43, intensity 18
- d 2.575, 2θ 34.84, intensity 40
- d 2.498, 2θ 35.95, intensity 19
- d 2.431, 2θ 36.98, intensity 53
- d 2.277, 2θ 39.57, intensity 17

Cell and atoms:
```
CoAgC4O4
1.0
5.779 -8.645 0.000
5.779 8.645 0.000
-0.683 0.000 6.092
Co Ag C O
4 4 16 16
Cartesian
5.779 5.077 0.000
2.675 0.000 4.761
8.200 0.000 1.331
5.779 -5.077 0.000
0.692 1.465 5.533
0.692 -1.465 5.533
10.183 1.465 0.558
10.183 -1.465 0.558
4.371 5.615 4.575
1.493 0.000 3.461
4.527 4.029 0.640
6.504 5.615 1.517
3.614 1.415 4.304
3.526 0.000 0.424
6.348 4.029 5.452
3.614 -1.415 4.304
7.261 1.415 1.788
4.527 -4.029 0.640
7.349 0.000 5.668
7.261 -1.415 1.788
4.371 -5.615 4.575
6.348 -4.029 5.452
9.383 0.000 2.630
6.504 -5.615 1.517
3.896 5.755 3.520
0.908 0.000 2.452
3.735 3.284 1.042
4.252 2.323 3.977
6.979 5.755 2.572
3.821 0.000 1.549
6.623 2.323 2.114
7.140 3.284 5.050
3.735 -3.284 1.042
4.252 -2.323 3.977
7.054 0.000 4.542
3.896 -5.755 3.520
6.623 -2.323 2.114
7.140 -3.284 5.050
9.968 0.000 3.640
6.979 -5.755 2.572
```